For Ce2Pm5Sb5, a cell relaxed with GGA-PBE gives the theoretical powder diffraction line list in this record (λ = 1.5418 Å (Cu Kα)).
Kinematic intensities with the Lorentz-polarization factor, no thermal factor.

Crystal structure
a b c (Å): 14.4160 4.4033 13.1975
angles (deg): 90.00 105.55 90.00
Space group C2/m (No. 12)
One atom of each set of equivalent atoms:
Ce1 0.0313 0.0000 0.2807 (multiplicity 4)
Pm1 0.0000 0.5000 0.0000 (multiplicity 2)
Pm2 0.1593 0.5000 0.5479 (multiplicity 4)
Pm3 0.2347 0.5000 0.8481 (multiplicity 4)
Sb1 0.0000 0.0000 0.5000 (multiplicity 2)
Sb2 0.1236 0.0000 0.9320 (multiplicity 4)
Sb3 0.1945 0.5000 0.3052 (multiplicity 4)

Peak list (6 most intense, 2θ = 5–70°, by intensity)
two_theta	intensity	hkl
27.54	100	2 0 -4
28.90	65	3 1 -2
27.44	49	2 0 3
40.99	47	0 2 0
30.11	44	3 1 1
27.96	37	3 1 0



For Ce4PmSb6, a cell relaxed with GGA-PBE gives the theoretical powder diffraction line list in this record (λ = 1.5418 Å (Cu Kα)).
Kinematic intensities with the Lorentz-polarization factor, no thermal factor.

Crystal structure
a b c (Å): 12.2508 12.2508 15.6242
angles (deg): 90.00 90.00 120.00
Space group R-3c (No. 167, hexagonal axes)
One atom of each set of equivalent atoms:
Ce1 0.0000 0.0000 0.2500 (multiplicity 6)
Ce2 0.0000 0.3905 0.2500 (multiplicity 18)
Pm1 0.0000 0.0000 0.0000 (multiplicity 6)
Sb1 0.0354 0.2171 0.3853 (multiplicity 36)

Peak list (6 most intense, 2θ = 5–70°, by intensity)
two_theta	intensity	hkl
30.92	100	1 3 1
31.99	100	2 1 4
33.96	83	2 2 3
28.38	64	0 2 4
38.90	41	4 1 0
25.18	35	3 0 0



For Ce4PmSb4, a cell relaxed with GGA-PBE gives the theoretical powder diffraction line list in this record (λ = 1.5418 Å (Cu Kα)).
Kinematic intensities with the Lorentz-polarization factor, no thermal factor.

Crystal structure
a b c (Å): 9.9193 9.9193 6.3200
angles (deg): 90.00 90.00 90.00
Space group I4/m (No. 87)
One atom of each set of equivalent atoms:
Ce1 0.1008 0.2957 0.0000 (multiplicity 8)
Pm1 0.0000 0.0000 0.5000 (multiplicity 2)
Sb1 0.0966 0.3008 0.5000 (multiplicity 8)

Peak list (6 most intense, 2θ = 5–70°, by intensity)
two_theta	intensity	hkl
28.45	100	1 3 0
40.52	77	1 3 2
28.24	50	0 0 2
50.26	41	4 2 2
40.68	38	4 2 0
66.23	18	1 3 4